Record 1
# GaIr15
Theoretical PXRD pattern, CuKα. Input: a DFT-relaxed cell (GGA-PBE, OQMD).
Intensities are scaled so that the largest is 100.

Principal peaks in the range 15 to 90 degrees two-theta, low angle first:
| hkl | 2θ (°) | I (rel.) |
| --- | --- | --- |
| 2 0 12 | 38.29 | 16 |
| 2 1 0 | 40.45 | 100 |
| 2 1 1 | 40.57 | 26 |
| 0 1 12 | 45.20 | 10 |
| 4 0 0 | 47.06 | 57 |
| 0 1 14 | 49.02 | 8 |
| 4 1 12 | 67.28 | 6 |
| 4 1 13 | 68.73 | 21 |
| 0 2 0 | 68.87 | 8 |
| 6 1 0 | 82.87 | 24 |
| 2 2 13 | 82.98 | 15 |
| 4 2 0 | 87.59 | 9 |

Cell and atoms:
a = 7.7286 Å, b = 2.7273 Å, c = 35.5405 Å
α = 90.00°, β = 90.02°, γ = 90.00°
Space group P2_1/m (No. 11)
One atom of each set of equivalent atoms:
Ga 0.1247 0.2500 0.2145 [2 per cell]
Ir 0.1251 0.2500 0.2886 [2 per cell]
Ir 0.1251 0.2500 0.3655 [2 per cell]
Ir 0.1247 0.2500 0.4419 [2 per cell]
Ir 0.1251 0.2500 0.5193 [2 per cell]
Ir 0.1250 0.2500 0.6734 [2 per cell]
Ir 0.1258 0.2500 0.5964 [2 per cell]
Ir 0.1270 0.2500 0.7521 [2 per cell]
Ir 0.3748 0.7500 0.3267 [2 per cell]
Ir 0.3750 0.7500 0.4804 [2 per cell]
Ir 0.3747 0.7500 0.5576 [2 per cell]
Ir 0.3750 0.7500 0.6351 [2 per cell]
Ir 0.3746 0.7500 0.7859 [2 per cell]
Ir 0.3758 0.7500 0.4037 [2 per cell]
Ir 0.3756 0.7500 0.7108 [2 per cell]
Ir 0.3774 0.7500 0.2477 [2 per cell]

Record 2
# PmGdSb
Theoretical PXRD pattern, CuKα. Input: a DFT-relaxed cell (GGA-PBE, OQMD).
Intensities are scaled so that the largest is 100.

Principal peaks in the range 15 to 90 degrees two-theta, low angle first:
| hkl | 2θ (°) | I (rel.) |
| --- | --- | --- |
| 1 1 1 | 21.10 | 20 |
| 2 0 0 | 24.41 | 23 |
| 2 2 0 | 34.79 | 100 |
| 3 1 1 | 41.04 | 10 |
| 2 2 2 | 42.96 | 7 |
| 4 0 0 | 50.02 | 18 |
| 3 3 1 | 54.87 | 4 |
| 4 2 0 | 56.42 | 9 |
| 4 2 2 | 62.37 | 37 |
| 4 4 0 | 73.44 | 11 |
| 6 0 0 | 78.72 | 4 |
| 6 2 0 | 83.90 | 16 |

Cell and atoms:
a = 7.2936 Å, b = 7.2936 Å, c = 7.2936 Å
α = 90.00°, β = 90.00°, γ = 90.00°
Space group F-43m (No. 216)
One atom of each set of equivalent atoms:
Pm 0.0000 0.0000 0.0000 [4 per cell]
Gd 0.0000 0.0000 0.5000 [4 per cell]
Sb 0.2500 0.2500 0.7500 [4 per cell]

Record 3
# K3IrO3
Theoretical PXRD pattern, CuKα. Input: a DFT-relaxed cell (GGA-PBE, OQMD).
Intensities are scaled so that the largest is 100.

Principal peaks in the range 15 to 90 degrees two-theta, low angle first:
| hkl | 2θ (°) | I (rel.) |
| --- | --- | --- |
| 1 1 0 | 15.45 | 88 |
| 2 0 0 | 21.92 | 58 |
| 1 1 2 | 25.70 | 36 |
| 2 0 2 | 30.13 | 100 |
| 2 2 0 | 31.20 | 74 |
| 3 1 0 | 34.99 | 18 |
| 3 1 2 | 40.85 | 32 |
| 0 0 4 | 41.50 | 21 |
| 4 0 0 | 44.70 | 22 |
| 2 0 4 | 47.42 | 18 |
| 2 2 4 | 52.82 | 30 |
| 4 2 2 | 54.85 | 38 |

Cell and atoms:
a = 8.1095 Å, b = 8.1095 Å, c = 8.7023 Å
α = 90.00°, β = 90.00°, γ = 90.00°
Space group I4cm (No. 108)
One atom of each set of equivalent atoms:
K 0.0000 0.0000 0.0000 [4 per cell]
K 0.2243 0.2757 0.2493 [8 per cell]
Ir 0.0000 0.5000 0.0081 [4 per cell]
O 0.0000 0.0000 0.2500 [4 per cell]
O 0.0635 0.4365 0.7611 [8 per cell]

Record 4
# TlHg3
Theoretical PXRD pattern, CuKα. Input: a DFT-relaxed cell (GGA-PBE, OQMD).
Intensities are scaled so that the largest is 100.

Principal peaks in the range 15 to 90 degrees two-theta, low angle first:
| hkl | 2θ (°) | I (rel.) |
| --- | --- | --- |
| 0 2 2 | 31.74 | 100 |
| 2 2 0 | 32.67 | 93 |
| 2 0 2 | 37.16 | 66 |
| 0 4 0 | 37.75 | 32 |
| 0 0 4 | 52.32 | 13 |
| 2 4 2 | 54.01 | 46 |
| 2 2 4 | 63.06 | 29 |
| 0 6 2 | 64.42 | 14 |
| 4 2 2 | 64.72 | 27 |
| 2 6 0 | 64.97 | 13 |
| 0 4 4 | 66.31 | 12 |
| 2 6 4 | 88.03 | 12 |

Cell and atoms:
a = 6.7019 Å, b = 9.5315 Å, c = 6.9939 Å
α = 90.00°, β = 90.00°, γ = 90.00°
Space group Imma (No. 74)
One atom of each set of equivalent atoms:
Tl 0.0000 0.2500 0.0025 [4 per cell]
Hg 0.0000 0.2500 0.5009 [4 per cell]
Hg 0.2500 0.0010 0.7500 [8 per cell]

Record 5
# Ho3Ni13B2
Theoretical PXRD pattern, CuKα. Input: a DFT-relaxed cell (GGA-PBE, OQMD).
Intensities are scaled so that the largest is 100.

Principal peaks in the range 15 to 90 degrees two-theta, low angle first:
| hkl | 2θ (°) | I (rel.) |
| --- | --- | --- |
| 1 0 3 | 32.31 | 78 |
| 1 1 0 | 36.43 | 33 |
| 0 0 5 | 41.33 | 10 |
| 2 0 0 | 42.31 | 59 |
| 1 1 3 | 44.36 | 100 |
| 0 0 6 | 50.12 | 14 |
| 2 1 3 | 62.97 | 23 |
| 1 1 6 | 63.52 | 15 |
| 2 0 6 | 67.62 | 15 |
| 3 0 3 | 71.08 | 23 |
| 2 2 0 | 77.38 | 19 |
| 3 1 3 | 86.35 | 10 |

Cell and atoms:
a = 4.9332 Å, b = 4.9332 Å, c = 10.9213 Å
α = 90.00°, β = 90.00°, γ = 120.00°
Space group P6/mmm (No. 191)
One atom of each set of equivalent atoms:
Ho 0.0000 0.0000 0.0000 [1 per cell]
Ho 0.0000 0.0000 0.3277 [2 per cell]
Ni 0.0000 0.5000 0.1334 [6 per cell]
Ni 0.0000 0.5000 0.5000 [3 per cell]
Ni 0.3333 0.6667 0.3189 [4 per cell]
B 0.3333 0.6667 0.0000 [2 per cell]

Record 6
# Gd2TmScGa2
Theoretical PXRD pattern, CuKα. Input: a DFT-relaxed cell (GGA-PBE, OQMD).
Intensities are scaled so that the largest is 100.

Principal peaks in the range 15 to 90 degrees two-theta, low angle first:
| hkl | 2θ (°) | I (rel.) |
| --- | --- | --- |
| 1 0 0 | 20.24 | 20 |
| 1 0 1 | 24.43 | 8 |
| 1 0 2 | 34.21 | 100 |
| 1 1 0 | 35.43 | 82 |
| 1 1 1 | 38.10 | 4 |
| 2 0 2 | 50.08 | 34 |
| 0 0 4 | 56.30 | 7 |
| 2 1 2 | 62.83 | 34 |
| 3 0 0 | 63.62 | 15 |
| 1 1 4 | 68.31 | 23 |
| 2 2 0 | 74.98 | 9 |
| 3 1 2 | 85.06 | 15 |

Cell and atoms:
a = 5.0668 Å, b = 5.0668 Å, c = 6.5363 Å
α = 90.00°, β = 90.00°, γ = 120.00°
Space group P-6m2 (No. 187)
One atom of each set of equivalent atoms:
Gd 0.0000 0.0000 0.2431 [2 per cell]
Tm 0.6667 0.3333 0.5000 [1 per cell]
Sc 0.3333 0.6667 0.0000 [1 per cell]
Ga 0.3333 0.6667 0.5000 [1 per cell]
Ga 0.6667 0.3333 0.0000 [1 per cell]

Record 7
# In8Mo2W
Theoretical PXRD pattern, CuKα. Input: a DFT-relaxed cell (GGA-PBE, OQMD).
Intensities are scaled so that the largest is 100.

Principal peaks in the range 15 to 90 degrees two-theta, low angle first:
| hkl | 2θ (°) | I (rel.) |
| --- | --- | --- |
| 1 1 3 | 35.52 | 100 |
| 3 1 -2 | 36.72 | 93 |
| 4 0 1 | 38.03 | 42 |
| 2 0 -5 | 41.55 | 30 |
| 0 2 0 | 45.97 | 25 |
| 2 0 6 | 55.90 | 12 |
| 6 0 -4 | 59.24 | 11 |
| 4 2 1 | 61.14 | 20 |
| 2 2 -5 | 63.68 | 16 |
| 5 1 4 | 66.32 | 15 |
| 7 1 -1 | 68.61 | 14 |
| 1 1 -8 | 71.16 | 10 |

Cell and atoms:
a = 10.2166 Å, b = 3.9486 Å, c = 11.2602 Å
α = 90.00°, β = 100.00°, γ = 90.00°
Space group C2/m (No. 12)
One atom of each set of equivalent atoms:
In 0.0407 0.0000 0.3222 [4 per cell]
In 0.1276 0.0000 0.9626 [4 per cell]
In 0.1865 0.5000 0.7829 [4 per cell]
In 0.2247 0.0000 0.5893 [4 per cell]
Mo 0.0950 0.5000 0.1596 [4 per cell]
W 0.0000 0.5000 0.5000 [2 per cell]

Record 8
# Gd3Mg3CuPd2
Theoretical PXRD pattern, CuKα. Input: a DFT-relaxed cell (GGA-PBE, OQMD).
Intensities are scaled so that the largest is 100.

Principal peaks in the range 15 to 90 degrees two-theta, low angle first:
| hkl | 2θ (°) | I (rel.) |
| --- | --- | --- |
| 1 1 0 | 23.65 | 34 |
| 2 0 0 | 27.38 | 19 |
| 1 1 1 | 32.49 | 100 |
| 2 0 1 | 35.37 | 92 |
| 2 1 0 | 36.49 | 28 |
| 3 0 0 | 41.58 | 26 |
| 2 1 1 | 42.99 | 20 |
| 0 0 2 | 44.78 | 21 |
| 3 1 0 | 50.51 | 24 |
| 3 1 1 | 55.71 | 27 |
| 3 2 1 | 66.71 | 21 |
| 3 1 2 | 69.76 | 19 |

Cell and atoms:
a = 7.5233 Å, b = 7.5233 Å, c = 4.0481 Å
α = 90.00°, β = 90.00°, γ = 120.00°
Space group P-62m (No. 189)
One atom of each set of equivalent atoms:
Gd 0.0000 0.4137 0.0000 [3 per cell]
Mg 0.0000 0.7574 0.5000 [3 per cell]
Cu 0.0000 0.0000 0.0000 [1 per cell]
Pd 0.3333 0.6667 0.5000 [2 per cell]

Record 9
# HoSiNiGe2
Theoretical PXRD pattern, CuKα. Input: a DFT-relaxed cell (GGA-PBE, OQMD).
Intensities are scaled so that the largest is 100.

Principal peaks in the range 15 to 90 degrees two-theta, low angle first:
| hkl | 2θ (°) | I (rel.) |
| --- | --- | --- |
| 0 4 0 | 16.58 | 14 |
| 1 3 0 | 25.34 | 15 |
| 1 5 0 | 30.44 | 16 |
| 0 8 0 | 33.49 | 38 |
| 1 3 1 | 33.76 | 100 |
| 1 7 1 | 43.32 | 18 |
| 1 9 0 | 44.21 | 18 |
| 0 0 2 | 44.72 | 23 |
| 2 0 0 | 44.88 | 23 |
| 2 8 0 | 57.14 | 16 |
| 2 0 2 | 65.23 | 16 |
| 1 3 3 | 75.37 | 15 |

Cell and atoms:
a = 4.0389 Å, b = 21.3920 Å, c = 4.0526 Å
α = 90.00°, β = 90.00°, γ = 90.00°
Space group Cmmm (No. 65)
One atom of each set of equivalent atoms:
Ho 0.0000 0.1719 0.0000 [4 per cell]
Si 0.0000 0.2807 0.5000 [4 per cell]
Ni 0.0000 0.3850 0.5000 [4 per cell]
Ge 0.0000 0.0583 0.5000 [4 per cell]
Ge 0.0000 0.4417 0.0000 [4 per cell]

Record 10
# Tm2FeReSi2C
Theoretical PXRD pattern, CuKα. Input: a DFT-relaxed cell (GGA-PBE, OQMD).
Intensities are scaled so that the largest is 100.

Principal peaks in the range 15 to 90 degrees two-theta, low angle first:
| hkl | 2θ (°) | I (rel.) |
| --- | --- | --- |
| 0 0 1 | 16.87 | 26 |
| 1 1 0 | 24.93 | 37 |
| 2 0 -2 | 26.36 | 18 |
| 3 1 -1 | 33.94 | 100 |
| 4 0 -2 | 34.12 | 28 |
| 2 0 1 | 34.84 | 54 |
| 1 1 -2 | 36.59 | 99 |
| 3 1 0 | 39.59 | 27 |
| 4 0 -3 | 41.50 | 32 |
| 0 2 0 | 45.94 | 30 |
| 2 0 -4 | 58.92 | 36 |
| 1 1 3 | 65.33 | 30 |

Cell and atoms:
a = 10.7427 Å, b = 3.9507 Å, c = 6.7627 Å
α = 90.00°, β = 128.95°, γ = 90.00°
Space group Cm (No. 8)
One atom of each set of equivalent atoms:
Tm 0.0000 0.0000 0.0000 [2 per cell]
Tm 0.1310 0.0000 0.5912 [2 per cell]
Fe 0.2732 0.5000 0.3941 [2 per cell]
Re 0.3630 0.0000 0.1975 [2 per cell]
Si 0.2067 0.5000 0.9907 [2 per cell]
Si 0.4068 0.0000 0.5955 [2 per cell]
C 0.0759 0.5000 0.3016 [2 per cell]

Record 11
# SrPPdO
Theoretical PXRD pattern, CuKα. Input: a DFT-relaxed cell (GGA-PBE, OQMD).
Intensities are scaled so that the largest is 100.

Principal peaks in the range 15 to 90 degrees two-theta, low angle first:
| hkl | 2θ (°) | I (rel.) |
| --- | --- | --- |
| 0 0 2 | 20.97 | 63 |
| 1 0 2 | 29.63 | 94 |
| 1 1 1 | 31.32 | 100 |
| 0 0 3 | 31.68 | 23 |
| 1 1 2 | 36.43 | 59 |
| 2 0 0 | 42.13 | 73 |
| 2 0 2 | 47.51 | 26 |
| 2 1 2 | 52.35 | 36 |
| 1 1 4 | 52.70 | 74 |
| 2 0 3 | 53.65 | 22 |
| 2 2 0 | 61.10 | 23 |
| 3 1 4 | 84.88 | 37 |

Cell and atoms:
a = 4.2898 Å, b = 4.2898 Å, c = 8.4740 Å
α = 90.00°, β = 90.00°, γ = 90.00°
Space group P4/nmm (No. 129, origin choice 2)
One atom of each set of equivalent atoms:
Sr 0.2500 0.2500 0.1242 [2 per cell]
P 0.2500 0.2500 0.6287 [2 per cell]
Pd 0.2500 0.7500 0.5000 [2 per cell]
O 0.2500 0.7500 0.0000 [2 per cell]